The following is a theoretical powder X-ray diffraction pattern of Li7Fe6Si6O24. It was derived from a cell relaxed with GGA+U, using Cu Kα (λ = 1.5418 Å).

Peak list (12 most intense, 15° ≤ 2θ ≤ 90°, by angle)
- hkl 1 0 1, 2θ 20.2, intensity 62
- hkl 0 1 -2, 2θ 21.5, intensity 64
- hkl 2 0 -1, 2θ 21.7, intensity 78
- hkl 2 -1 0, 2θ 21.9, intensity 39
- hkl 1 -2 1, 2θ 22.2, intensity 33
- hkl 2 0 -2, 2θ 25.4, intensity 92
- hkl 2 -2 0, 2θ 25.8, intensity 47
- hkl 0 1 2, 2θ 31.1, intensity 100
- hkl 2 0 1, 2θ 31.3, intensity 28
- hkl 2 1 -3, 2θ 33.8, intensity 40
- hkl 1 -3 2, 2θ 34.0, intensity 47
- hkl -3 2 1, 2θ 34.3, intensity 49

Atomic structure:
Cell lengths 8.585, 8.639, 8.728 Å; angles 107.76, 107.83, 106.91 degrees
Space group P1 (No. 1)
Asymmetric unit:
Li1 0.000 0.000 0.000 [1 per cell]
Li2 0.071 0.094 0.308 [1 per cell]
Li3 0.234 0.689 0.507 [1 per cell]
Li4 0.358 0.605 0.968 [1 per cell]
Li5 0.510 0.198 0.196 [1 per cell]
Li6 0.759 0.365 0.799 [1 per cell]
Li7 0.846 0.910 0.671 [1 per cell]
Fe1 0.097 0.704 0.128 [1 per cell]
Fe2 0.178 0.282 0.010 [1 per cell]
Fe3 0.396 0.424 0.611 [1 per cell]
Fe4 0.580 0.011 0.843 [1 per cell]
Fe5 0.682 0.933 0.311 [1 per cell]
Fe6 0.863 0.528 0.525 [1 per cell]
Si1 0.009 0.267 0.638 [1 per cell]
Si2 0.200 0.861 0.866 [1 per cell]
Si3 0.424 0.044 0.463 [1 per cell]
Si4 0.507 0.584 0.362 [1 per cell]
Si5 0.723 0.748 0.951 [1 per cell]
Si6 0.913 0.343 0.168 [1 per cell]
O1 0.033 0.227 0.158 [1 per cell]
O2 0.208 0.736 0.977 [1 per cell]
O3 0.223 0.405 0.707 [1 per cell]
O4 0.246 0.063 0.002 [1 per cell]
O5 0.262 0.839 0.375 [1 per cell]
O6 0.329 0.183 0.459 [1 per cell]
O7 0.340 0.854 0.773 [1 per cell]
O8 0.370 0.522 0.156 [1 per cell]
O9 0.398 0.572 0.488 [1 per cell]
O10 0.534 0.054 0.338 [1 per cell]
O11 0.565 0.105 0.671 [1 per cell]
O12 0.609 0.785 0.066 [1 per cell]
O13 0.615 0.455 0.378 [1 per cell]
O14 0.633 0.536 0.808 [1 per cell]
O15 0.658 0.791 0.437 [1 per cell]
O16 0.694 0.205 0.076 [1 per cell]
O17 0.731 0.881 0.846 [1 per cell]
O18 0.889 0.385 0.648 [1 per cell]
O19 0.924 0.112 0.431 [1 per cell]
O20 0.938 0.823 0.091 [1 per cell]
O21 0.944 0.461 0.052 [1 per cell]
O22 0.980 0.490 0.374 [1 per cell]
O23 0.992 0.163 0.764 [1 per cell]
O24 0.992 0.772 0.704 [1 per cell]